Record 1
Ac3AlGa2Ni6: theoretical PXRD pattern (λ = 1.5418 Å (Cu Kα)), based on a crystal structure in Alexandria, relaxed with PBE.

Crystal structure
Cell: 5.627 5.627 8.756 Å, 90.00 90.00 120.00°
Atoms (fractional coordinates):
Ac: 0.000 0.000 0.000
Ac: 0.333 0.667 0.671
Ac: 0.667 0.333 0.329
Al: 0.000 0.000 0.500
Ga: 0.333 0.667 0.082
Ga: 0.667 0.333 0.918
Ni: 0.180 0.360 0.310
Ni: 0.180 0.820 0.310
Ni: 0.360 0.180 0.690
Ni: 0.640 0.820 0.310
Ni: 0.820 0.180 0.690
Ni: 0.820 0.640 0.690

The 6 most intense peaks (2θ from 10° to 90°), sorted by position:
Position (°2θ)	I/Imax
20.9	63
27.4	100
30.6	59
31.8	83
38.3	85
42.5	97

Record 2
Hf5Zn2H2: theoretical PXRD pattern (λ = 1.5418 Å (Cu Kα)), based on a crystal structure in Alexandria, relaxed with PBE.

Crystal structure
Cell: 8.712 8.712 8.712 Å, 63.04 132.07 141.56°
Atoms (fractional coordinates):
Hf: 0.063 0.975 0.587
Hf: 0.248 0.038 0.287
Hf: 0.248 0.462 0.710
Hf: 0.388 0.475 0.413
Hf: 0.697 0.108 0.292
Hf: 0.697 0.905 0.089
Hf: 0.752 0.538 0.290
Hf: 0.752 0.962 0.713
Hf: 0.816 0.405 0.708
Hf: 0.816 0.608 0.911
Zn: 0.188 0.352 0.032
Zn: 0.188 0.656 0.335
Zn: 0.320 0.156 0.968
Zn: 0.320 0.852 0.665
H: 0.504 0.328 0.675
H: 0.653 0.828 0.325
H: 0.757 0.257 0.500
H: 0.757 0.757 0.000

The 6 most intense peaks (2θ from 10° to 90°), sorted by position:
Position (°2θ)	I/Imax
32.7	100
33.5	73
35.0	73
38.4	80
40.5	61
42.4	64